This entry pairs a crystal structure of La2NiSn4 with its theoretical X-ray diffraction stick pattern. Radiation: a wavelength of 1.5418 Å. Structure: a cell relaxed with GGA-PBE.
Neutral-atom scattering factors, no anomalous dispersion.

Largest 8 diffraction maxima, low angle first, 10 to 90 degrees two-theta:
Position (°2θ), I (rel.)
30.3, 144
31.5, 1000
36.2, 166
39.3, 208
39.5, 206
50.4, 144
54.5, 167
56.9, 143

Structure:
Cell: 4.563 9.151 9.151 Å, 29.01 90.00 90.00°
Positions (direct):
La1 0.000 0.000 0.000
La2 0.500 0.209 0.209
Ni1 0.000 0.794 0.794
Sn1 0.000 0.362 0.362
Sn2 0.000 0.651 0.651
Sn3 0.500 0.544 0.544
Sn4 0.500 0.861 0.861

=====

This entry pairs a crystal structure of La8Ni2Sn with its theoretical X-ray diffraction stick pattern. Radiation: a wavelength of 1.5418 Å. Structure: a cell relaxed with GGA-PBE.
Neutral-atom scattering factors, no anomalous dispersion.

Largest 8 diffraction maxima, low angle first, 10 to 90 degrees two-theta:
Position (°2θ), I (rel.)
26.1, 246
29.0, 672
30.8, 1000
31.7, 731
32.4, 627
34.4, 387
35.7, 383
51.4, 387

Structure:
Cell: 8.385 8.385 5.327 Å, 96.93 96.93 113.56°
Positions (direct):
La1 0.000 0.000 0.000
La2 0.093 0.323 0.626
La3 0.125 0.636 0.201
La4 0.323 0.093 0.626
La5 0.451 0.708 0.750
La6 0.636 0.125 0.201
La7 0.708 0.451 0.750
La8 0.783 0.783 0.409
Ni1 0.090 0.714 0.712
Ni2 0.714 0.090 0.712
Sn1 0.394 0.394 0.192

=====

This entry pairs a crystal structure of La4Ni3Sn8 with its theoretical X-ray diffraction stick pattern. Radiation: a wavelength of 1.5418 Å. Structure: a cell relaxed with GGA-PBE.
Neutral-atom scattering factors, no anomalous dispersion.

Largest 8 diffraction maxima, low angle first, 10 to 90 degrees two-theta:
Position (°2θ), I (rel.)
29.6, 112
31.4, 1000
31.6, 154
35.7, 209
39.5, 471
54.3, 126
57.0, 162
66.6, 242

Structure:
Cell: 4.563 4.570 18.082 Å, 90.00 90.00 90.00°
Positions (direct):
La1 0.000 0.000 0.000
La2 0.000 0.500 0.213
La3 0.500 0.000 0.499
La4 0.500 0.500 0.715
Ni1 0.000 0.000 0.798
Ni2 0.000 0.500 0.425
Ni3 0.500 0.000 0.288
Sn1 0.000 0.000 0.356
Sn2 0.000 0.000 0.659
Sn3 0.000 0.500 0.562
Sn4 0.000 0.500 0.864
Sn5 0.500 0.000 0.149
Sn6 0.500 0.000 0.865
Sn7 0.500 0.500 0.046
Sn8 0.500 0.500 0.356

=====

This entry pairs a crystal structure of LaTb2Ni with its theoretical X-ray diffraction stick pattern. Radiation: a wavelength of 1.5418 Å. Structure: a cell relaxed with GGA-PBE.
Neutral-atom scattering factors, no anomalous dispersion.

Largest 8 diffraction maxima, low angle first, 10 to 90 degrees two-theta:
Position (°2θ), I (rel.)
30.3, 434
30.5, 423
30.8, 1000
31.6, 476
31.7, 725
33.4, 442
34.5, 627
56.7, 370

Structure:
Cell: 6.973 9.741 6.502 Å, 90.00 90.00 90.00°
Positions (direct):
La1 0.036 0.250 0.141
La2 0.464 0.750 0.641
La3 0.536 0.250 0.359
La4 0.964 0.750 0.859
Tb1 0.173 0.068 0.674
Tb2 0.173 0.432 0.674
Tb3 0.327 0.568 0.174
Tb4 0.327 0.932 0.174
Tb5 0.673 0.068 0.826
Tb6 0.673 0.432 0.826
Tb7 0.827 0.568 0.326
Tb8 0.827 0.932 0.326
Ni1 0.117 0.750 0.432
Ni2 0.383 0.250 0.932
Ni3 0.617 0.750 0.068
Ni4 0.883 0.250 0.568

=====

This entry pairs a crystal structure of La5Ni2Te with its theoretical X-ray diffraction stick pattern. Radiation: a wavelength of 1.5418 Å. Structure: a cell relaxed with GGA-PBE.
Neutral-atom scattering factors, no anomalous dispersion.

Largest 8 diffraction maxima, low angle first, 10 to 90 degrees two-theta:
Position (°2θ), I (rel.)
25.5, 257
30.2, 446
31.4, 1000
34.1, 265
35.1, 741
50.5, 217
52.4, 221
65.3, 251

Structure:
Cell: 8.983 8.983 8.983 Å, 126.49 126.49 79.09°
Positions (direct):
La1 0.000 0.000 0.000
La2 0.013 0.513 0.797
La3 0.215 0.013 0.500
La4 0.285 0.785 0.797
La5 0.487 0.285 0.500
La6 0.500 0.500 0.000
La7 0.513 0.715 0.500
La8 0.715 0.215 0.203
La9 0.785 0.987 0.500
La10 0.987 0.487 0.203
Ni1 0.155 0.345 0.500
Ni2 0.345 0.845 0.190
Ni3 0.655 0.155 0.810
Ni4 0.845 0.655 0.500
Te1 0.250 0.250 0.000
Te2 0.750 0.750 0.000

=====

This entry pairs a crystal structure of La4TlNi with its theoretical X-ray diffraction stick pattern. Radiation: a wavelength of 1.5418 Å. Structure: a cell relaxed with GGA-PBE.
Neutral-atom scattering factors, no anomalous dispersion.

Largest 8 diffraction maxima, low angle first, 10 to 90 degrees two-theta:
Position (°2θ), I (rel.)
28.4, 563
29.1, 345
29.8, 784
30.0, 656
31.9, 824
32.1, 448
32.5, 1000
42.8, 360

Structure:
Cell: 6.003 7.213 8.721 Å, 90.00 102.33 90.00°
Positions (direct):
La1 0.109 0.250 0.042
La2 0.209 0.750 0.383
La3 0.358 0.507 0.775
La4 0.358 0.993 0.775
La5 0.642 0.007 0.225
La6 0.642 0.493 0.225
La7 0.791 0.250 0.617
La8 0.891 0.750 0.958
Tl1 0.227 0.250 0.424
Tl2 0.773 0.750 0.576
Ni1 0.356 0.750 0.051
Ni2 0.644 0.250 0.949